GePd4Au2: simulated X-ray diffraction stick pattern (a wavelength of 1.5418 Å), based on a DFT-relaxed cell (PBE, Alexandria).
Lines closer than 0.1° are merged.

Principal peaks in the range 10° ≤ 2θ ≤ 80°, by intensity:
38.32 deg, I 100.0
41.84 deg, I 90.7
41.69 deg, I 88.2
38.77 deg, I 55.1
33.58 deg, I 49.2
40.44 deg, I 27.3
34.35 deg, I 24.8
28.86 deg, I 19.1
60.74 deg, I 18.8
67.93 deg, I 18.4

Structure:
```
GePd4Au2
1.0
-3.6673 3.7178 4.2923
3.6673 -3.7178 4.2923
3.6673 3.7178 -4.2923
Ge Pd Au
2 8 4
Direct
0.0332 0.2832 0.7500
0.4668 0.2168 0.2500
0.0334 0.0022 0.9011
0.4666 0.3677 0.9688
0.5025 0.6356 0.4540
0.6011 0.1323 0.5989
0.6816 0.0485 0.0460
0.8184 0.8644 0.3669
0.8989 0.4978 0.5312
0.9975 0.4515 0.1331
0.1836 0.2500 0.4336
0.2500 0.8654 0.6154
0.3164 0.7500 0.0664
0.7500 0.6346 0.8846
```

HoTh3: simulated X-ray diffraction stick pattern (a wavelength of 1.5418 Å), based on a DFT-relaxed cell (PBE, Alexandria).
Lines closer than 0.1° are merged.

Principal peaks in the range 10° ≤ 2θ ≤ 80°, by intensity:
31.56 deg, I 100.0
56.19 deg, I 40.3
45.23 deg, I 18.9
74.89 deg, I 17.6
65.89 deg, I 12.6
19.17 deg, I 1.1
37.19 deg, I 0.7
22.17 deg, I 0.6

Structure:
```
HoTh3
1.0
0.0000 4.0096 4.0096
4.0096 0.0000 4.0096
4.0096 4.0096 0.0000
Ho Th
1 3
Direct
0.0000 0.0000 0.0000
0.2500 0.2500 0.2500
0.5000 0.5000 0.5000
0.7500 0.7500 0.7500
```

- Number 1 is which compound?
  GePd4Au2